Diffraction record for IrN2. The powder X-ray diffraction pattern is simulated, not measured: it uses a cell relaxed with GGA-PBE and Cu Kα, 1.54184 Å.
Intensities are scaled so that the largest is 100.

Atomic structure:
a = 4.8791 Å, b = 4.9332 Å, c = 4.9175 Å
α = 90.00°, β = 107.94°, γ = 90.00°
Space group P2_1/c (No. 14)
Unique sites:
Ir 0.2332 0.0003 0.2208 [4 per cell]
N 0.1857 0.0973 0.7994 [4 per cell]
N 0.3246 0.5864 0.1592 [4 per cell]

Principal peaks in the range 10° ≤ 2θ ≤ 80°, by angle:
hkl 1 1 -1, d = 3.089 Å, 2θ = 28.9°, I 100; hkl 1 1 1, d = 2.488 Å, 2θ = 36.1°, I 47; hkl 0 2 0, d = 2.467 Å, 2θ = 36.4°, I 36; hkl 0 0 2, d = 2.339 Å, 2θ = 38.5°, I 29; hkl 2 0 0, d = 2.321 Å, 2θ = 38.8°, I 31; hkl 2 0 -2, d = 1.981 Å, 2θ = 45.8°, I 16; hkl 0 2 2, d = 1.697 Å, 2θ = 54.0°, I 20; hkl 2 2 0, d = 1.690 Å, 2θ = 54.3°, I 21; hkl 3 1 -1, d = 1.544 Å, 2θ = 59.9°, I 31; hkl 1 3 -1, d = 1.519 Å, 2θ = 61.0°, I 15

Diffraction record for KCN. The powder X-ray diffraction pattern is simulated, not measured: it uses a cell relaxed with GGA-PBE and Cu Kα, 1.54184 Å.
Intensities are scaled so that the largest is 100.

Atomic structure:
a = 7.6592 Å, b = 4.7015 Å, c = 8.2199 Å
α = 90.00°, β = 108.95°, γ = 90.00°
Space group Cc (No. 9)
Unique sites:
K 0.0000 0.1938 0.0000 [4 per cell]
C 0.2322 0.3435 0.7095 [4 per cell]
N 0.2723 0.1567 0.8111 [4 per cell]

Principal peaks in the range 10° ≤ 2θ ≤ 80°, by angle:
hkl 0 0 2, d = 3.887 Å, 2θ = 22.9°, I 10; hkl 1 1 -1, d = 3.798 Å, 2θ = 23.4°, I 12; hkl 1 1 1, d = 3.290 Å, 2θ = 27.1°, I 100; hkl 2 0 -2, d = 3.223 Å, 2θ = 27.7°, I 59; hkl 1 1 -3, d = 2.366 Å, 2θ = 38.0°, I 29; hkl 0 2 0, d = 2.351 Å, 2θ = 38.3°, I 9; hkl 2 0 2, d = 2.303 Å, 2θ = 39.1°, I 16; hkl 0 2 1, d = 2.250 Å, 2θ = 40.1°, I 11; hkl 3 1 -1, d = 2.243 Å, 2θ = 40.2°, I 31; hkl 1 1 3, d = 2.010 Å, 2θ = 45.1°, I 10

Diffraction record for DyMgSe3. The powder X-ray diffraction pattern is simulated, not measured: it uses a cell relaxed with GGA-PBE and Cu Kα, 1.54184 Å.
Intensities are scaled so that the largest is 100.

Atomic structure:
a = 6.9085 Å, b = 6.9085 Å, c = 19.3413 Å
α = 90.00°, β = 90.00°, γ = 120.00°
Space group R-3 (No. 148, hexagonal axes)
Unique sites:
Dy 0.0000 0.0000 0.1529 [6 per cell]
Mg 0.0000 0.0000 0.3393 [6 per cell]
Se 0.0086 0.6433 0.9169 [18 per cell]

Principal peaks in the range 10° ≤ 2θ ≤ 80°, by angle:
hkl 0 0 3, d = 6.447 Å, 2θ = 13.7°, I 28; hkl 0 1 2, d = 5.088 Å, 2θ = 17.4°, I 22; hkl 1 0 4, d = 3.761 Å, 2θ = 23.7°, I 22; hkl 1 1 3, d = 3.045 Å, 2θ = 29.3°, I 100; hkl 0 2 4, d = 2.544 Å, 2θ = 35.3°, I 16; hkl 2 -1 6, d = 2.357 Å, 2θ = 38.2°, I 68; hkl 3 0 0, d = 1.994 Å, 2θ = 45.5°, I 42; hkl 2 -1 9, d = 1.825 Å, 2θ = 50.0°, I 19; hkl 4 -2 3, d = 1.668 Å, 2θ = 55.0°, I 15; hkl 2 2 6, d = 1.522 Å, 2θ = 60.8°, I 15

Diffraction record for Sr3LiRuO6. The powder X-ray diffraction pattern is simulated, not measured: it uses a cell relaxed with GGA-PBE and Cu Kα, 1.54184 Å.
Intensities are scaled so that the largest is 100.

Atomic structure:
a = 9.7389 Å, b = 9.7389 Å, c = 11.2225 Å
α = 90.00°, β = 90.00°, γ = 120.00°
Space group R-3c (No. 167, hexagonal axes)
Unique sites:
Sr 0.0000 0.3583 0.2500 [18 per cell]
Li 0.0000 0.0000 0.2500 [6 per cell]
Ru 0.0000 0.0000 0.0000 [6 per cell]
O 0.0225 0.1752 0.3948 [36 per cell]

Principal peaks in the range 10° ≤ 2θ ≤ 80°, by angle:
hkl 0 1 2, d = 4.672 Å, 2θ = 19.0°, I 67; hkl 1 1 3, d = 2.967 Å, 2θ = 30.1°, I 90; hkl 3 0 0, d = 2.811 Å, 2θ = 31.8°, I 100; hkl 3 1 2, d = 2.159 Å, 2θ = 41.8°, I 26; hkl 2 1 4, d = 2.106 Å, 2θ = 42.9°, I 18; hkl 2 2 3, d = 2.041 Å, 2θ = 44.4°, I 60; hkl 1 1 6, d = 1.746 Å, 2θ = 52.4°, I 22; hkl 1 4 3, d = 1.651 Å, 2θ = 55.7°, I 23; hkl 3 3 0, d = 1.623 Å, 2θ = 56.7°, I 17; hkl 3 2 4, d = 1.593 Å, 2θ = 57.9°, I 16

Diffraction record for Ti2Nb2Cu3O12. The powder X-ray diffraction pattern is simulated, not measured: it uses a cell relaxed with GGA-PBE and Cu Kα, 1.54184 Å.
Intensities are scaled so that the largest is 100.

Atomic structure:
a = 10.5822 Å, b = 7.5418 Å, c = 7.5283 Å
α = 90.00°, β = 134.61°, γ = 90.00°
Space group C2/m (No. 12)
Unique sites:
Ti 0.2500 0.2500 0.0000 [4 per cell]
Nb 0.2500 0.2500 0.5000 [4 per cell]
Cu 0.0000 0.0000 0.0000 [2 per cell]
Cu 0.0000 0.0000 0.5000 [2 per cell]
Cu 0.0000 0.5000 0.0000 [2 per cell]
O 0.0019 0.1882 0.6829 [8 per cell]
O 0.1781 0.5000 0.3655 [4 per cell]
O 0.1836 0.5000 0.9948 [4 per cell]
O 0.1883 0.1811 0.1867 [8 per cell]

Principal peaks in the range 10° ≤ 2θ ≤ 80°, by angle:
hkl 1 1 -1, d = 5.329 Å, 2θ = 16.6°, I 19; hkl 2 0 -1, d = 5.291 Å, 2θ = 16.8°, I 22; hkl 0 2 1, d = 3.085 Å, 2θ = 28.9°, I 18; hkl 0 0 2, d = 2.680 Å, 2θ = 33.4°, I 25; hkl 2 2 0, d = 2.664 Å, 2θ = 33.6°, I 100; hkl 4 0 -2, d = 2.646 Å, 2θ = 33.9°, I 25; hkl 4 0 0, d = 1.884 Å, 2θ = 48.3°, I 41; hkl 2 2 2, d = 1.544 Å, 2θ = 59.9°, I 26; hkl 6 2 -4, d = 1.531 Å, 2θ = 60.5°, I 25; hkl 4 4 0, d = 1.332 Å, 2θ = 70.7°, I 13

Diffraction record for Mg6CoW. The powder X-ray diffraction pattern is simulated, not measured: it uses a cell relaxed with GGA-PBE and Cu Kα, 1.54184 Å.
Intensities are scaled so that the largest is 100.

Atomic structure:
a = 4.7788 Å, b = 5.7070 Å, c = 10.6733 Å
α = 90.00°, β = 90.00°, γ = 90.00°
Space group Amm2 (No. 38)
Unique sites:
Mg 0.0000 0.0000 0.0000 [2 per cell]
Mg 0.0000 0.0000 0.4929 [2 per cell]
Mg 0.0000 0.2478 0.7646 [4 per cell]
Mg 0.5000 0.2493 0.1045 [4 per cell]
Co 0.5000 0.0000 0.3504 [2 per cell]
W 0.5000 0.0000 0.8564 [2 per cell]

Principal peaks in the range 10° ≤ 2θ ≤ 80°, by angle:
hkl 0 0 2, d = 5.337 Å, 2θ = 16.6°, I 82; hkl 0 1 1, d = 5.033 Å, 2θ = 17.6°, I 47; hkl 1 0 0, d = 4.779 Å, 2θ = 18.6°, I 56; hkl 1 0 2, d = 3.560 Å, 2θ = 25.0°, I 49; hkl 1 1 1, d = 3.465 Å, 2θ = 25.7°, I 40; hkl 0 2 2, d = 2.516 Å, 2θ = 35.7°, I 48; hkl 2 0 0, d = 2.389 Å, 2θ = 37.6°, I 42; hkl 1 0 4, d = 2.330 Å, 2θ = 38.6°, I 70; hkl 1 2 2, d = 2.227 Å, 2θ = 40.5°, I 100; hkl 2 2 2, d = 1.733 Å, 2θ = 52.8°, I 31

Diffraction record for Ca2AlH10ClO8. The powder X-ray diffraction pattern is simulated, not measured: it uses a cell relaxed with GGA-PBE and Cu Kα, 1.54184 Å.
Intensities are scaled so that the largest is 100.

Atomic structure:
a = 16.5479 Å, b = 6.3269 Å, c = 10.7429 Å
α = 90.00°, β = 101.13°, γ = 90.00°
Space group C2/c (No. 15)
Unique sites:
Ca 0.2132 0.2089 0.1737 [8 per cell]
Al 0.2500 0.2500 0.5000 [4 per cell]
H 0.0264 0.2657 0.0950 [8 per cell]
H 0.0528 0.4641 0.1802 [8 per cell]
H 0.0596 0.1798 0.5430 [8 per cell]
H 0.0750 0.1385 0.4857 [8 per cell]
H 0.1162 0.1786 0.8729 [8 per cell]
Cl 0.0000 0.2649 0.7500 [4 per cell]
O 0.0745 0.3360 0.1444 [8 per cell]
O 0.1712 0.1736 0.9307 [8 per cell]
O 0.2089 0.0243 0.3864 [8 per cell]
O 0.2423 0.1259 0.6403 [8 per cell]

Principal peaks in the range 10° ≤ 2θ ≤ 80°, by angle:
hkl 2 0 0, d = 8.118 Å, 2θ = 10.9°, I 100; hkl 3 1 0, d = 4.113 Å, 2θ = 21.6°, I 13; hkl 4 0 0, d = 4.061 Å, 2θ = 21.9°, I 32; hkl 3 1 -1, d = 4.037 Å, 2θ = 22.0°, I 24; hkl 0 2 0, d = 3.163 Å, 2θ = 28.2°, I 15; hkl 1 1 -3, d = 3.116 Å, 2θ = 28.7°, I 20; hkl 5 1 0, d = 2.889 Å, 2θ = 31.0°, I 9; hkl 3 1 3, d = 2.497 Å, 2θ = 36.0°, I 19; hkl 2 0 4, d = 2.375 Å, 2θ = 37.9°, I 8; hkl 7 1 -1, d = 2.214 Å, 2θ = 40.8°, I 19